# 1
# NaCaAlSi2O7
Computed XRD peak list, Cu Ka. Input: a PBE-relaxed structure.

Structural model:
```
data_NaCaAlSi2O7
_cell_length_a 7.685
_cell_length_b 7.873
_cell_length_c 11.504
_cell_angle_alpha 90.00
_cell_angle_beta 90.00
_cell_angle_gamma 90.00
_symmetry_space_group_name_H-M 'P 21 21 21'
_symmetry_Int_Tables_number 19
_symmetry_space_group_name_Hall 'P 2ac 2ab'
loop_
_atom_site_label
_atom_site_type_symbol
_atom_site_fract_x
_atom_site_fract_y
_atom_site_fract_z
Na1 Na 0.018 0.216 0.087
Ca1 Ca 0.184 0.094 0.395
Al1 Al 0.242 0.509 0.008
Si1 Si 0.098 0.863 0.142
Si2 Si 0.108 0.853 0.636
O1 O 0.059 0.421 0.939
O2 O 0.092 0.881 0.280
O3 O 0.096 0.400 0.417
O4 O 0.109 0.853 0.773
O5 O 0.148 0.676 0.090
O6 O 0.168 0.673 0.574
O7 O 0.232 0.009 0.083
```

The 10 most intense peaks (10 to 90 degrees two-theta), sorted by position:
- 13.86 deg, 6.390 Å, rel. 36
- 15.40 deg, 5.752 Å, rel. 49
- 16.12 deg, 5.499 Å, rel. 31
- 22.37 deg, 3.975 Å, rel. 100
- 25.42 deg, 3.503 Å, rel. 33
- 25.80 deg, 3.453 Å, rel. 33
- 30.19 deg, 2.961 Å, rel. 32
- 32.58 deg, 2.749 Å, rel. 30
- 35.21 deg, 2.549 Å, rel. 33
- 40.20 deg, 2.243 Å, rel. 36

=====

# 2
# TeO2
Computed XRD peak list, Cu Ka. Input: a PBE-relaxed structure.

Structural model:
```
data_TeO2
_cell_length_a 5.474
_cell_length_b 4.008
_cell_length_c 7.811
_cell_angle_alpha 90.00
_cell_angle_beta 91.77
_cell_angle_gamma 90.00
_symmetry_space_group_name_H-M 'P 1 21/m 1'
_symmetry_Int_Tables_number 11
_symmetry_space_group_name_Hall '-P 2yb'
loop_
_atom_site_label
_atom_site_type_symbol
_atom_site_fract_x
_atom_site_fract_y
_atom_site_fract_z
Te1 Te 0.191 0.250 0.388
Te2 Te 0.287 0.250 0.859
O1 O 0.085 0.750 0.437
O2 O 0.106 0.750 0.785
O3 O 0.371 0.750 0.093
O4 O 0.390 0.250 0.620
```

The 10 most intense peaks (10 to 90 degrees two-theta), sorted by position:
- 19.52 deg, 4.547 Å, rel. 14
- 27.61 deg, 3.231 Å, rel. 100
- 28.49 deg, 3.133 Å, rel. 34
- 29.71 deg, 3.007 Å, rel. 12
- 32.00 deg, 2.797 Å, rel. 49
- 32.73 deg, 2.736 Å, rel. 16
- 45.25 deg, 2.004 Å, rel. 18
- 46.97 deg, 1.934 Å, rel. 20
- 55.40 deg, 1.659 Å, rel. 18
- 56.99 deg, 1.616 Å, rel. 12

=====

# 3
# V2ReMo
Computed XRD peak list, Cu Ka. Input: a PBE-relaxed structure.

Structural model:
```
data_V2ReMo
_cell_length_a 6.113
_cell_length_b 6.113
_cell_length_c 6.113
_cell_angle_alpha 90.00
_cell_angle_beta 90.00
_cell_angle_gamma 90.00
_symmetry_space_group_name_H-M 'F m -3 m'
_symmetry_Int_Tables_number 225
_symmetry_space_group_name_Hall '-F 4 2 3'
loop_
_atom_site_label
_atom_site_type_symbol
_atom_site_fract_x
_atom_site_fract_y
_atom_site_fract_z
V1 V 0.250 0.250 0.250
Re1 Re 0.000 0.000 0.000
Mo1 Mo 0.000 0.000 0.500
```

The 10 most intense peaks (10 to 90 degrees two-theta), sorted by position:
- 25.23 deg, 3.530 Å, rel. 12
- 29.22 deg, 3.057 Å, rel. 29
- 41.79 deg, 2.161 Å, rel. 100
- 49.45 deg, 1.843 Å, rel. 7
- 51.80 deg, 1.765 Å, rel. 9
- 60.59 deg, 1.528 Å, rel. 16
- 66.69 deg, 1.403 Å, rel. 3
- 68.66 deg, 1.367 Å, rel. 11
- 76.31 deg, 1.248 Å, rel. 33
- 81.88 deg, 1.177 Å, rel. 2

=====

# 4
# Ba3Sm
Computed XRD peak list, Cu Ka. Input: a PBE-relaxed structure.

Structural model:
```
data_Ba3Sm
_cell_length_a 5.966
_cell_length_b 5.966
_cell_length_c 5.966
_cell_angle_alpha 90.00
_cell_angle_beta 90.00
_cell_angle_gamma 90.00
_symmetry_space_group_name_H-M 'P m -3 m'
_symmetry_Int_Tables_number 221
_symmetry_space_group_name_Hall '-P 4 2 3'
loop_
_atom_site_label
_atom_site_type_symbol
_atom_site_fract_x
_atom_site_fract_y
_atom_site_fract_z
Ba1 Ba 0.000 0.000 0.500
Sm1 Sm 0.500 0.500 0.500
```

The 10 most intense peaks (10 to 90 degrees two-theta), sorted by position:
- 25.87 deg, 3.444 Å, rel. 100
- 29.96 deg, 2.983 Å, rel. 52
- 42.88 deg, 2.109 Å, rel. 38
- 50.76 deg, 1.799 Å, rel. 47
- 53.19 deg, 1.722 Å, rel. 14
- 62.25 deg, 1.491 Å, rel. 6
- 68.57 deg, 1.369 Å, rel. 19
- 70.61 deg, 1.334 Å, rel. 18
- 78.55 deg, 1.218 Å, rel. 13
- 84.36 deg, 1.148 Å, rel. 15

=====

# 5
# CeAl3Cu
Computed XRD peak list, Cu Ka. Input: a PBE-relaxed structure.

Structural model:
```
data_CeAl3Cu
_cell_length_a 4.222
_cell_length_b 4.222
_cell_length_c 10.709
_cell_angle_alpha 90.00
_cell_angle_beta 90.00
_cell_angle_gamma 90.00
_symmetry_space_group_name_H-M 'I -4 m 2'
_symmetry_Int_Tables_number 119
_symmetry_space_group_name_Hall 'I -4 -2'
loop_
_atom_site_label
_atom_site_type_symbol
_atom_site_fract_x
_atom_site_fract_y
_atom_site_fract_z
Ce1 Ce 0.000 0.000 0.000
Al1 Al 0.000 0.000 0.382
Al2 Al 0.000 0.500 0.250
Cu1 Cu 0.000 0.500 0.750
```

The 10 most intense peaks (10 to 90 degrees two-theta), sorted by position:
- 22.64 deg, 3.928 Å, rel. 57
- 32.86 deg, 2.726 Å, rel. 61
- 33.47 deg, 2.677 Å, rel. 15
- 34.39 deg, 2.608 Å, rel. 100
- 42.84 deg, 2.111 Å, rel. 39
- 47.61 deg, 1.910 Å, rel. 25
- 55.02 deg, 1.669 Å, rel. 28
- 60.43 deg, 1.532 Å, rel. 16
- 65.95 deg, 1.416 Å, rel. 18
- 73.04 deg, 1.296 Å, rel. 21

=====

# 6
# Rb2AlTlI6
Computed XRD peak list, Cu Ka. Input: a PBE-relaxed structure.

Structural model:
```
data_Rb2AlTlI6
_cell_length_a 12.248
_cell_length_b 12.248
_cell_length_c 12.248
_cell_angle_alpha 90.00
_cell_angle_beta 90.00
_cell_angle_gamma 90.00
_symmetry_space_group_name_H-M 'F m -3 m'
_symmetry_Int_Tables_number 225
_symmetry_space_group_name_Hall '-F 4 2 3'
loop_
_atom_site_label
_atom_site_type_symbol
_atom_site_fract_x
_atom_site_fract_y
_atom_site_fract_z
Rb1 Rb 0.250 0.250 0.250
Al1 Al 0.000 0.000 0.000
Tl1 Tl 0.000 0.000 0.500
I1 I 0.000 0.000 0.227
```

The 10 most intense peaks (10 to 90 degrees two-theta), sorted by position:
- 14.46 deg, 6.124 Å, rel. 42
- 24.10 deg, 3.693 Å, rel. 21
- 25.19 deg, 3.536 Å, rel. 71
- 29.16 deg, 3.062 Å, rel. 100
- 31.85 deg, 2.810 Å, rel. 30
- 41.72 deg, 2.165 Å, rel. 70
- 49.36 deg, 1.846 Å, rel. 25
- 51.71 deg, 1.768 Å, rel. 23
- 57.83 deg, 1.595 Å, rel. 19
- 68.52 deg, 1.369 Å, rel. 26